Entry 1:
# Fe2NiP2O8
Calculated powder diffraction line list, Cu Kα (λ = 1.5418 Å). Input: a crystal structure in the Materials Project, relaxed with PBE+U.
No peak broadening, texture or thermal motion is included.

Main lines, sorted by position (2θ = 10–80°):
2θ (°)	I_rel
14.71	32
22.72	50
25.12	100
29.67	29
31.69	57
34.97	76
36.05	40
36.23	24
51.29	24
51.53	41

abc: 6.023 4.858 10.409
angles: 90.00 90.68 90.00
Sites, in units of the cell vectors:
Fe: 0.000 0.000 0.247
Fe: 0.000 0.500 0.753
Fe: 0.263 0.518 0.469
Fe: 0.737 0.018 0.531
Ni: 0.263 0.990 0.973
Ni: 0.737 0.490 0.027
P: 0.241 0.069 0.654
P: 0.243 0.429 0.147
P: 0.757 0.929 0.853
P: 0.759 0.569 0.346
O: 0.030 0.218 0.591
O: 0.032 0.279 0.084
O: 0.222 0.753 0.648
O: 0.227 0.746 0.142
O: 0.247 0.179 0.794
O: 0.248 0.319 0.287
O: 0.433 0.183 0.572
O: 0.438 0.312 0.067
O: 0.562 0.812 0.933
O: 0.567 0.683 0.428
O: 0.752 0.819 0.713
O: 0.753 0.679 0.206
O: 0.773 0.246 0.858
O: 0.778 0.253 0.352
O: 0.968 0.779 0.916
O: 0.970 0.718 0.409

Entry 2:
# Li9Mn2Co5O16
Calculated powder diffraction line list, Cu Kα (λ = 1.5418 Å). Input: a crystal structure in the Materials Project, relaxed with PBE+U.
No peak broadening, texture or thermal motion is included.

Main lines, sorted by position (2θ = 10–80°):
2θ (°)	I_rel
18.38	100
36.01	28
36.59	12
43.50	56
44.33	26
47.91	9
57.34	10
63.00	7
63.40	22
64.33	14

abc: 4.997 5.865 9.822
angles: 90.00 100.54 90.00
Sites, in units of the cell vectors:
Li: 0.000 0.000 0.000
Li: 0.244 0.506 0.753
Li: 0.245 0.002 0.754
Li: 0.245 0.246 0.248
Li: 0.245 0.759 0.248
Li: 0.755 0.002 0.246
Li: 0.755 0.246 0.752
Li: 0.755 0.759 0.752
Li: 0.756 0.506 0.247
Mn: 0.000 0.510 0.000
Mn: 0.500 0.243 0.000
Co: 0.000 0.253 0.500
Co: 0.000 0.754 0.500
Co: 0.500 0.004 0.500
Co: 0.500 0.504 0.500
Co: 0.500 0.756 0.000
O: 0.134 0.004 0.382
O: 0.134 0.738 0.890
O: 0.137 0.270 0.890
O: 0.139 0.506 0.385
O: 0.361 0.255 0.616
O: 0.365 0.757 0.615
O: 0.367 0.503 0.108
O: 0.399 0.005 0.111
O: 0.601 0.005 0.889
O: 0.633 0.503 0.892
O: 0.635 0.757 0.385
O: 0.639 0.255 0.384
O: 0.861 0.506 0.615
O: 0.863 0.270 0.110
O: 0.866 0.004 0.618
O: 0.866 0.738 0.110

Entry 3:
# Li2CrNiO4
Calculated powder diffraction line list, Cu Kα (λ = 1.5418 Å). Input: a crystal structure in the Materials Project, relaxed with PBE+U.
No peak broadening, texture or thermal motion is included.

Main lines, sorted by position (2θ = 10–80°):
2θ (°)	I_rel
18.46	100
35.79	43
37.44	19
43.50	78
47.67	10
57.52	12
63.16	21
63.26	21
66.44	10
79.90	9

abc: 5.093 2.939 5.100
angles: 90.00 109.36 90.00
Sites, in units of the cell vectors:
Li: 0.000 0.000 0.000
Li: 0.000 0.500 0.500
Cr: 0.500 0.000 0.500
Ni: 0.500 0.500 0.000
O: 0.267 0.500 0.269
O: 0.280 0.000 0.752
O: 0.720 0.000 0.248
O: 0.733 0.500 0.731

Entry 4:
# GeWO4
Calculated powder diffraction line list, Cu Kα (λ = 1.5418 Å). Input: a crystal structure in the Materials Project, relaxed with PBE+U.
No peak broadening, texture or thermal motion is included.

Main lines, sorted by position (2θ = 10–80°):
2θ (°)	I_rel
16.93	22
24.03	39
26.92	100
29.54	29
36.39	15
45.84	42
50.82	20
56.97	12
64.11	24
65.48	12

abc: 7.407 7.407 7.407
angles: 90.00 90.00 90.00
Sites, in units of the cell vectors:
Ge: 0.181 0.319 0.681
Ge: 0.319 0.681 0.181
Ge: 0.681 0.181 0.319
Ge: 0.819 0.819 0.819
W: 0.164 0.164 0.164
W: 0.336 0.836 0.664
W: 0.664 0.336 0.836
W: 0.836 0.664 0.336
O: 0.056 0.639 0.227
O: 0.139 0.273 0.944
O: 0.198 0.698 0.802
O: 0.227 0.056 0.639
O: 0.273 0.944 0.139
O: 0.302 0.302 0.302
O: 0.361 0.727 0.444
O: 0.444 0.361 0.727
O: 0.556 0.861 0.773
O: 0.639 0.227 0.056
O: 0.698 0.802 0.198
O: 0.727 0.444 0.361
O: 0.773 0.556 0.861
O: 0.802 0.198 0.698
O: 0.861 0.773 0.556
O: 0.944 0.139 0.273

Entry 5:
# MgCo7O12
Calculated powder diffraction line list, Cu Kα (λ = 1.5418 Å). Input: a crystal structure in the Materials Project, relaxed with PBE+U.
No peak broadening, texture or thermal motion is included.

Main lines, sorted by position (2θ = 10–80°):
2θ (°)	I_rel
18.67	100
20.32	29
21.04	30
24.26	39
37.29	19
38.08	33
43.42	62
43.61	60
44.84	57
63.89	48

abc: 5.046 5.050 9.729
angles: 96.35 95.92 119.92
Sites, in units of the cell vectors:
Mg: 0.000 0.000 0.000
Co: 0.189 0.811 0.501
Co: 0.352 0.649 0.000
Co: 0.418 0.069 0.233
Co: 0.520 0.480 0.501
Co: 0.681 0.319 0.000
Co: 0.855 0.143 0.500
Co: 0.934 0.580 0.767
O: 0.089 0.704 0.114
O: 0.172 0.104 0.397
O: 0.223 0.526 0.601
O: 0.298 0.910 0.887
O: 0.411 0.359 0.108
O: 0.475 0.774 0.401
O: 0.595 0.245 0.617
O: 0.642 0.589 0.892
O: 0.694 0.032 0.110
O: 0.754 0.404 0.384
O: 0.895 0.829 0.604
O: 0.970 0.306 0.890

Entry 6:
# LiCr2O3
Calculated powder diffraction line list, Cu Kα (λ = 1.5418 Å). Input: a crystal structure in the Materials Project, relaxed with PBE+U.
No peak broadening, texture or thermal motion is included.

Main lines, sorted by position (2θ = 10–80°):
2θ (°)	I_rel
17.68	67
19.53	14
21.62	14
35.05	20
35.79	15
36.06	28
40.47	58
42.74	100
59.69	29
60.94	28

abc: 5.226 5.226 10.100
angles: 93.30 93.30 119.08
Sites, in units of the cell vectors:
Li: 0.069 0.931 0.750
Li: 0.259 0.741 0.250
Li: 0.741 0.259 0.750
Li: 0.931 0.069 0.250
Cr: 0.000 0.500 0.500
Cr: 0.167 0.332 0.002
Cr: 0.332 0.167 0.502
Cr: 0.404 0.596 0.750
Cr: 0.500 0.000 0.000
Cr: 0.596 0.404 0.250
Cr: 0.668 0.833 0.498
Cr: 0.833 0.668 0.998
O: 0.015 0.177 0.608
O: 0.123 0.624 0.884
O: 0.177 0.015 0.108
O: 0.339 0.469 0.381
O: 0.376 0.877 0.616
O: 0.469 0.339 0.881
O: 0.531 0.661 0.119
O: 0.624 0.123 0.384
O: 0.661 0.531 0.619
O: 0.823 0.985 0.892
O: 0.877 0.376 0.116
O: 0.985 0.823 0.392

Entry 7:
# MgMn12O17F7
Calculated powder diffraction line list, Cu Kα (λ = 1.5418 Å). Input: a crystal structure in the Materials Project, relaxed with PBE+U.
No peak broadening, texture or thermal motion is included.

Main lines, sorted by position (2θ = 10–80°):
2θ (°)	I_rel
24.14	55
24.65	56
29.89	48
30.29	54
30.51	100
36.28	25
36.62	24
52.71	40
53.22	50
53.97	42

abc: 4.773 5.664 15.035
angles: 89.38 89.48 88.79
Sites, in units of the cell vectors:
Mg: 0.000 0.000 0.000
Mn: 0.014 0.405 0.670
Mn: 0.045 0.459 0.016
Mn: 0.048 0.763 0.508
Mn: 0.064 0.424 0.347
Mn: 0.079 0.768 0.187
Mn: 0.498 0.238 0.834
Mn: 0.498 0.935 0.999
Mn: 0.501 0.942 0.661
Mn: 0.514 0.224 0.499
Mn: 0.540 0.249 0.170
Mn: 0.542 0.964 0.334
Mn: 0.993 0.722 0.835
O: 0.203 0.455 0.782
O: 0.211 0.716 0.948
O: 0.229 0.700 0.618
O: 0.256 0.471 0.455
O: 0.270 0.506 0.122
O: 0.283 0.206 0.946
O: 0.284 0.986 0.105
O: 0.286 0.180 0.605
O: 0.289 0.712 0.292
O: 0.311 0.993 0.440
O: 0.323 0.201 0.277
O: 0.715 0.189 0.725
O: 0.735 0.970 0.560
O: 0.739 0.966 0.895
O: 0.755 0.208 0.396
O: 0.771 0.985 0.229
O: 0.772 0.237 0.062
F: 0.266 0.957 0.771
F: 0.739 0.699 0.727
F: 0.764 0.470 0.907
F: 0.768 0.455 0.561
F: 0.793 0.746 0.068
F: 0.805 0.727 0.397
F: 0.831 0.486 0.238